(1)
Calculated PXRD pattern of Mn5PdS8 for a wavelength of 1.5418 Å, from DFT lattice parameters and positions (GGA-PBE).

Structural model:
Lattice parameters (Å, degrees): 9.878 9.878 9.878 90.00 90.00 90.00
Space group F-43m (No. 216)
Unique sites:
Mn 0.000 0.000 0.000 (multiplicity 4)
Mn 0.122 0.122 0.622 (multiplicity 16)
Pd 0.250 0.250 0.250 (multiplicity 4)
S 0.113 0.113 0.387 (multiplicity 16)
S 0.136 0.136 0.864 (multiplicity 16)

Top 8 peaks for 10 to 90 degrees two-theta, low angle first:
(2 2 0), 2θ = 25.51°, rel. 45; (3 1 1), 2θ = 30.00°, rel. 100; (4 0 0), 2θ = 36.38°, rel. 29; (4 2 2), 2θ = 44.96°, rel. 16; (5 1 1), 2θ = 47.85°, rel. 49; (4 4 0), 2θ = 52.40°, rel. 75; (5 5 3), 2θ = 73.66°, rel. 18; (5 5 5), 2θ = 85.04°, rel. 12

***

(2)
Calculated PXRD pattern of Mn2Sb2Pd7 for a wavelength of 1.5418 Å, from DFT lattice parameters and positions (GGA-PBE).

Structural model:
Lattice parameters (Å, degrees): 3.477 8.496 12.707 90.00 90.00 90.00
Space group Immm (No. 71)
Unique sites:
Mn 0.000 0.250 0.000 (multiplicity 4)
Sb 0.000 0.000 0.203 (multiplicity 4)
Pd 0.000 0.261 0.342 (multiplicity 8)
Pd 0.000 0.500 0.122 (multiplicity 4)
Pd 0.000 0.500 0.500 (multiplicity 2)

Top 8 peaks for 10 to 90 degrees two-theta, low angle first:
(1 1 2), 2θ = 31.15°, rel. 19; (0 1 5), 2θ = 36.92°, rel. 18; (1 2 3), 2θ = 39.68°, rel. 100; (0 4 0), 2θ = 42.56°, rel. 26; (1 3 2), 2θ = 43.61°, rel. 10; (2 0 0), 2θ = 52.64°, rel. 14; (2 4 0), 2θ = 69.94°, rel. 15; (1 6 3), 2θ = 75.95°, rel. 13

***

(3)
Calculated PXRD pattern of Sc2MnPd6 for a wavelength of 1.5418 Å, from DFT lattice parameters and positions (GGA-PBE).

Structural model:
Lattice parameters (Å, degrees): 4.633 7.464 8.807 90.00 90.00 90.00
Space group Immm (No. 71)
Unique sites:
Sc 0.000 0.000 0.177 (multiplicity 4)
Mn 0.000 0.000 0.500 (multiplicity 2)
Pd 0.000 0.304 0.339 (multiplicity 8)
Pd 0.000 0.310 0.000 (multiplicity 4)

Top 8 peaks for 10 to 90 degrees two-theta, low angle first:
(0 2 0), 2θ = 23.84°, rel. 39; (0 1 3), 2θ = 32.78°, rel. 39; (1 0 3), 2θ = 36.22°, rel. 55; (2 0 0), 2θ = 38.87°, rel. 56; (1 3 0), 2θ = 41.18°, rel. 76; (1 2 3), 2θ = 43.83°, rel. 100; (0 0 6), 2θ = 63.36°, rel. 28; (2 5 3), 2θ = 83.85°, rel. 22

***

(4)
Calculated PXRD pattern of Mn2Pd2Se3 for a wavelength of 1.5418 Å, from DFT lattice parameters and positions (GGA-PBE).

Structural model:
Lattice parameters (Å, degrees): 6.718 6.875 6.695 90.00 114.76 90.00
Space group P2_1/c (No. 14)
Unique sites:
Mn 0.004 0.166 0.352 (multiplicity 4)
Pd 0.366 0.665 0.515 (multiplicity 4)
Se 0.000 0.000 0.000 (multiplicity 2)
Se 0.326 0.005 0.645 (multiplicity 4)

Top 8 peaks for 10 to 90 degrees two-theta, low angle first:
(1 1 0), 2θ = 19.46°, rel. 94; (1 2 -1), 2θ = 30.44°, rel. 87; (2 1 0), 2θ = 32.13°, rel. 65; (2 1 -2), 2θ = 34.33°, rel. 80; (1 2 -2), 2θ = 37.57°, rel. 87; (3 0 0), 2θ = 44.56°, rel. 70; (0 1 3), 2θ = 46.72°, rel. 100; (1 3 1), 2θ = 46.94°, rel. 94

***

(5)
Calculated PXRD pattern of MnPd2Se4 for a wavelength of 1.5418 Å, from DFT lattice parameters and positions (GGA-PBE).

Structural model:
Lattice parameters (Å, degrees): 7.452 7.452 10.552 90.00 90.00 90.00
Space group P4_122 (No. 91)
Unique sites:
Mn 0.000 0.240 0.000 (multiplicity 4)
Pd 0.241 0.500 0.750 (multiplicity 4)
Pd 0.259 0.259 0.375 (multiplicity 4)
Se 0.012 0.243 0.763 (multiplicity 8)
Se 0.243 0.468 0.991 (multiplicity 8)

Top 8 peaks for 10 to 90 degrees two-theta, low angle first:
(2 0 0), 2θ = 23.87°, rel. 29; (1 0 3), 2θ = 28.07°, rel. 66; (2 0 2), 2θ = 29.35°, rel. 19; (0 0 4), 2θ = 34.01°, rel. 59; (1 0 5), 2θ = 44.66°, rel. 45; (2 2 4), 2θ = 48.87°, rel. 100; (4 1 5), 2θ = 68.34°, rel. 13; (2 2 8), 2θ = 81.69°, rel. 13

***

(6)
Calculated PXRD pattern of Mn2SiPd5 for a wavelength of 1.5418 Å, from DFT lattice parameters and positions (GGA-PBE).

Structural model:
Lattice parameters (Å, degrees): 5.469 10.554 4.097 90.00 90.00 90.00
Space group Pbam (No. 55)
Unique sites:
Mn 0.170 0.142 0.000 (multiplicity 4)
Si 0.000 0.500 0.500 (multiplicity 2)
Pd 0.000 0.000 0.500 (multiplicity 2)
Pd 0.078 0.735 0.500 (multiplicity 4)
Pd 0.181 0.398 0.000 (multiplicity 4)

Top 8 peaks for 10 to 90 degrees two-theta, low angle first:
(2 0 1), 2θ = 39.63°, rel. 36; (0 4 1), 2θ = 40.63°, rel. 100; (2 3 0), 2θ = 41.84°, rel. 20; (0 0 2), 2θ = 44.22°, rel. 29; (2 4 0), 2θ = 47.91°, rel. 17; (2 3 2), 2θ = 62.50°, rel. 12; (2 4 2), 2θ = 67.23°, rel. 12; (0 4 3), 2θ = 78.91°, rel. 14

***

(7)
Calculated PXRD pattern of Sr2MnSiPd6 for a wavelength of 1.5418 Å, from DFT lattice parameters and positions (GGA-PBE).

Structural model:
Lattice parameters (Å, degrees): 9.513 9.513 9.513 90.00 90.00 90.00
Space group Fm-3m (No. 225)
Unique sites:
Sr 0.250 0.250 0.250 (multiplicity 8)
Mn 0.000 0.000 0.000 (multiplicity 4)
Si 0.000 0.000 0.500 (multiplicity 4)
Pd 0.000 0.000 0.259 (multiplicity 24)

Top 8 peaks for 10 to 90 degrees two-theta, low angle first:
(2 0 0), 2θ = 18.66°, rel. 10; (2 2 2), 2θ = 32.61°, rel. 100; (4 0 0), 2θ = 37.83°, rel. 75; (4 4 0), 2θ = 54.57°, rel. 50; (6 2 2), 2θ = 65.04°, rel. 39; (4 4 4), 2θ = 68.32°, rel. 17; (8 0 0), 2θ = 80.83°, rel. 8; (6 6 2), 2θ = 89.90°, rel. 16

***

(8)
Calculated PXRD pattern of Sm2MnPd6 for a wavelength of 1.5418 Å, from DFT lattice parameters and positions (GGA-PBE).

Structural model:
Lattice parameters (Å, degrees): 7.247 10.864 4.461 90.00 90.00 90.00
Space group Cmmm (No. 65)
Unique sites:
Sm 0.000 0.242 0.000 (multiplicity 4)
Mn 0.000 0.000 0.500 (multiplicity 2)
Pd 0.198 0.368 0.500 (multiplicity 8)
Pd 0.210 0.000 0.000 (multiplicity 4)

Top 8 peaks for 10 to 90 degrees two-theta, low angle first:
(2 2 0), 2θ = 29.64°, rel. 41; (2 0 1), 2θ = 31.82°, rel. 34; (2 2 1), 2θ = 35.96°, rel. 100; (0 4 1), 2θ = 38.82°, rel. 96; (0 0 2), 2θ = 40.44°, rel. 56; (2 4 0), 2θ = 41.55°, rel. 25; (3 1 1), 2θ = 43.42°, rel. 40; (2 2 2), 2θ = 50.93°, rel. 18

***

(9)
Calculated PXRD pattern of Mn2SnPd3 for a wavelength of 1.5418 Å, from DFT lattice parameters and positions (GGA-PBE).

Structural model:
Lattice parameters (Å, degrees): 4.4861 4.4861 11.1023 90.00 90.00 120.00
Space group P-3m1 (No. 164)
Unique sites:
Mn 0.0000 0.0000 0.0000 (multiplicity 1)
Mn 0.0000 0.0000 0.5000 (multiplicity 1)
Mn 0.3333 0.6667 0.1616 (multiplicity 2)
Sn 0.3333 0.6667 0.6701 (multiplicity 2)
Pd 0.0000 0.0000 0.2424 (multiplicity 2)
Pd 0.3333 0.6667 0.4185 (multiplicity 2)
Pd 0.3333 0.6667 0.9219 (multiplicity 2)

Top 8 peaks for 10 to 90 degrees two-theta, low angle first:
(1 0 4), 2θ = 39.92°, rel. 100; (1 1 0), 2θ = 40.20°, rel. 98; (0 2 4), 2θ = 57.95°, rel. 33; (0 1 8), 2θ = 72.30°, rel. 16; (2 1 4), 2θ = 72.88°, rel. 33; (3 0 0), 2θ = 73.07°, rel. 17; (2 0 8), 2θ = 86.11°, rel. 10; (2 2 0), 2θ = 86.85°, rel. 11

***

(10)
Calculated PXRD pattern of MnSn6Pd12 for a wavelength of 1.5418 Å, from DFT lattice parameters and positions (GGA-PBE).

Structural model:
Lattice parameters (Å, degrees): 11.9755 11.9755 8.2492 90.00 90.00 120.00
Space group R-3 (No. 148, hexagonal axes)
Unique sites:
Mn 0.0000 0.0000 0.0000 (multiplicity 3)
Sn 0.0427 0.2075 0.7426 (multiplicity 18)
Pd 0.0333 0.2318 0.0763 (multiplicity 18)
Pd 0.0611 0.2404 0.4236 (multiplicity 18)

Top 8 peaks for 10 to 90 degrees two-theta, low angle first:
(3 0 0), 2θ = 25.77°, rel. 16; (2 -1 3), 2θ = 35.94°, rel. 46; (1 4 0), 2θ = 39.83°, rel. 100; (0 3 3), 2θ = 41.98°, rel. 40; (4 -2 3), 2θ = 44.75°, rel. 47; (7 -5 3), 2θ = 65.68°, rel. 22; (7 1 3), 2θ = 77.71°, rel. 12; (5 -1 6), 2θ = 82.00°, rel. 21

***

(11)
Calculated PXRD pattern of MnTe4Pd2 for a wavelength of 1.5418 Å, from DFT lattice parameters and positions (GGA-PBE).

Structural model:
Lattice parameters (Å, degrees): 7.955 7.955 11.268 90.00 90.00 90.00
Space group P4_122 (No. 91)
Unique sites:
Mn 0.000 0.240 0.000 (multiplicity 4)
Te 0.010 0.246 0.760 (multiplicity 8)
Te 0.245 0.470 0.991 (multiplicity 8)
Pd 0.241 0.500 0.750 (multiplicity 4)
Pd 0.260 0.260 0.375 (multiplicity 4)

Top 8 peaks for 10 to 90 degrees two-theta, low angle first:
(2 0 0), 2θ = 22.34°, rel. 17; (1 0 3), 2θ = 26.26°, rel. 35; (2 0 2), 2θ = 27.45°, rel. 51; (0 0 4), 2θ = 31.80°, rel. 74; (1 0 5), 2θ = 41.69°, rel. 33; (2 2 4), 2θ = 45.59°, rel. 100; (2 0 6), 2θ = 54.04°, rel. 19; (4 0 8), 2θ = 84.29°, rel. 27

***

(12)
Calculated PXRD pattern of Th3MnPd12 for a wavelength of 1.5418 Å, from DFT lattice parameters and positions (GGA-PBE).

Structural model:
Lattice parameters (Å, degrees): 4.182 4.182 16.352 90.00 90.00 90.00
Space group P4/mmm (No. 123)
Unique sites:
Th 0.000 0.000 0.000 (multiplicity 1)
Th 0.000 0.000 0.264 (multiplicity 2)
Mn 0.000 0.000 0.500 (multiplicity 1)
Pd 0.000 0.500 0.128 (multiplicity 4)
Pd 0.000 0.500 0.385 (multiplicity 4)
Pd 0.500 0.500 0.000 (multiplicity 1)
Pd 0.500 0.500 0.255 (multiplicity 2)
Pd 0.500 0.500 0.500 (multiplicity 1)

Top 8 peaks for 10 to 90 degrees two-theta, low angle first:
(1 1 4), 2θ = 37.54°, rel. 100; (2 0 0), 2θ = 43.27°, rel. 35; (0 0 8), 2θ = 44.32°, rel. 14; (2 2 0), 2θ = 62.85°, rel. 11; (2 0 8), 2θ = 63.67°, rel. 20; (3 1 4), 2θ = 75.57°, rel. 25; (1 1 12), 2θ = 77.06°, rel. 8; (2 2 8), 2θ = 80.11°, rel. 10